No. 1
The following is a computed powder X-ray diffraction pattern of Ba5P3BrO12. It was derived from the PBE geometry in the Materials Project, using Cu Kα X-rays.
Neutral-atom scattering factors, no anomalous dispersion.

Largest 8 diffraction maxima, by angle, 10 to 90 degrees two-theta:
- 2θ = 20.39°, d = 4.356 Å, I 20, hkl 1 1 1
- 2θ = 28.34°, d = 3.149 Å, I 67, hkl 2 1 1
- 2θ = 28.57°, d = 3.124 Å, I 100, hkl 1 1 2
- 2θ = 29.40°, d = 3.038 Å, I 60, hkl 3 0 0
- 2θ = 41.46°, d = 2.178 Å, I 37, hkl 2 2 2
- 2θ = 43.75°, d = 2.069 Å, I 21, hkl 2 1 3
- 2θ = 44.90°, d = 2.019 Å, I 19, hkl 3 2 1
- 2θ = 45.62°, d = 1.989 Å, I 19, hkl 1 4 0

Cell and atoms:
```
data_Ba5P3BrO12
_chemical_formula_sum 'Ba10 P6 Br2 O24'
_space_group_name_H-M_alt 'P 63/m'
_space_group_IT_number 176
_space_group_name_Hall '-P 6c'
_cell_length_a 10.5235
_cell_length_b 10.5235
_cell_length_c 7.7647
_cell_angle_alpha 90.00
_cell_angle_beta 90.00
_cell_angle_gamma 120.00
loop_
_atom_site_label
_atom_site_fract_x
_atom_site_fract_y
_atom_site_fract_z
Ba1 0.0121 0.2660 0.2500
Ba2 0.3333 0.6667 0.0005
P1 0.0373 0.4083 0.7500
Br1 0.0000 0.0000 0.0000
O1 0.0870 0.3586 0.5866
O2 0.1203 0.5805 0.7500
O3 0.1322 0.6539 0.2500
```


No. 2
The following is a computed powder X-ray diffraction pattern of Ba7Ru4Br2O15. It was derived from the PBE geometry in the Materials Project, using Cu Kα X-rays.
Neutral-atom scattering factors, no anomalous dispersion.

Largest 8 diffraction maxima, by angle, 10 to 90 degrees two-theta:
- 2θ = 24.10°, d = 3.693 Å, I 16, hkl 1 0 10
- 2θ = 29.21°, d = 3.058 Å, I 56, hkl 0 1 14
- 2θ = 30.31°, d = 2.949 Å, I 100, hkl 1 1 0
- 2θ = 32.01°, d = 2.796 Å, I 18, hkl 1 0 16
- 2θ = 42.59°, d = 2.123 Å, I 27, hkl 2 0 14
- 2θ = 53.17°, d = 1.723 Å, I 20, hkl 1 2 14
- 2θ = 53.85°, d = 1.703 Å, I 20, hkl 3 0 0
- 2θ = 63.05°, d = 1.474 Å, I 17, hkl 2 2 0

Cell and atoms:
```
data_Ba7Ru4Br2O15
_chemical_formula_sum 'Ba21 Ru12 Br6 O45'
_space_group_name_H-M_alt 'R -3 m'
_space_group_IT_number 166
_space_group_name_Hall '-R 3 2"'
_cell_length_a 5.8978
_cell_length_b 5.8978
_cell_length_c 53.4453
_cell_angle_alpha 90.00
_cell_angle_beta 90.00
_cell_angle_gamma 120.00
loop_
_atom_site_label
_atom_site_fract_x
_atom_site_fract_y
_atom_site_fract_z
Ba1 0.0000 0.0000 0.0000
Ba2 0.0000 0.0000 0.0814
Ba3 0.0000 0.0000 0.2085
Ba4 0.0000 0.0000 0.2873
Ru1 0.0000 0.0000 0.3532
Ru2 0.0000 0.0000 0.4051
Br1 0.0000 0.0000 0.1437
O1 0.0000 0.5000 0.0000
O2 0.0111 0.5056 0.0897
O3 0.0319 0.5159 0.2888
```


No. 3
The following is a computed powder X-ray diffraction pattern of Ba8Ta2Ru3Br2O18. It was derived from the PBE geometry in the Materials Project, using Cu Kα X-rays.
Neutral-atom scattering factors, no anomalous dispersion.

Largest 8 diffraction maxima, by angle, 10 to 90 degrees two-theta:
- 2θ = 23.84°, d = 3.732 Å, I 16, hkl 0 1 11
- 2θ = 29.59°, d = 3.019 Å, I 47, hkl 1 0 16
- 2θ = 30.09°, d = 2.970 Å, I 100, hkl 1 1 0
- 2θ = 40.80°, d = 2.211 Å, I 18, hkl 0 0 27
- 2θ = 42.71°, d = 2.117 Å, I 24, hkl 0 2 16
- 2θ = 53.13°, d = 1.724 Å, I 17, hkl 2 1 16
- 2θ = 53.44°, d = 1.715 Å, I 20, hkl 3 0 0
- 2θ = 62.56°, d = 1.485 Å, I 17, hkl 2 2 0

Cell and atoms:
```
data_Ba8Ta2Ru3Br2O18
_chemical_formula_sum 'Ba24 Ta6 Ru9 Br6 O54'
_space_group_name_H-M_alt 'R -3 m'
_space_group_IT_number 166
_space_group_name_Hall '-R 3 2"'
_cell_length_a 5.9392
_cell_length_b 5.9392
_cell_length_c 59.6630
_cell_angle_alpha 90.00
_cell_angle_beta 90.00
_cell_angle_gamma 120.00
loop_
_atom_site_label
_atom_site_fract_x
_atom_site_fract_y
_atom_site_fract_z
Ba1 0.0000 0.0000 0.0592
Ba2 0.0000 0.0000 0.1310
Ba3 0.0000 0.0000 0.2418
Ba4 0.0000 0.0000 0.3118
Ta1 0.0000 0.0000 0.4186
Ru1 0.0000 0.0000 0.0000
Ru2 0.0000 0.0000 0.3705
Br1 0.0000 0.0000 0.1869
O1 0.0053 0.5026 0.6860
O2 0.0071 0.5036 0.2334
O3 0.0340 0.5170 0.0595
```


No. 4
The following is a computed powder X-ray diffraction pattern of Ba5SiBr6O4. It was derived from the PBE geometry in the Materials Project, using Cu Kα X-rays.
Neutral-atom scattering factors, no anomalous dispersion.

Largest 8 diffraction maxima, by angle, 10 to 90 degrees two-theta:
- 2θ = 27.55°, d = 3.238 Å, I 51, hkl 0 4 2
- 2θ = 28.17°, d = 3.168 Å, I 83, hkl 1 3 -3
- 2θ = 28.31°, d = 3.152 Å, I 87, hkl 3 1 0
- 2θ = 31.01°, d = 2.883 Å, I 100, hkl 2 4 -2
- 2θ = 31.68°, d = 2.824 Å, I 65, hkl 2 4 1
- 2θ = 31.82°, d = 2.813 Å, I 83, hkl 1 5 1
- 2θ = 32.55°, d = 2.751 Å, I 73, hkl 0 2 4
- 2θ = 45.23°, d = 2.005 Å, I 42, hkl 4 4 -3

Cell and atoms:
```
data_Ba5SiBr6O4
_chemical_formula_sum 'Ba20 Si4 Br24 O16'
_space_group_name_H-M_alt 'C 1 2/c 1'
_space_group_IT_number 15
_space_group_name_Hall '-C 2yc'
_cell_length_a 9.990
_cell_length_b 15.512
_cell_length_c 12.172
_cell_angle_alpha 90.00
_cell_angle_beta 104.80
_cell_angle_gamma 90.00
loop_
_atom_site_label
_atom_site_fract_x
_atom_site_fract_y
_atom_site_fract_z
Ba1 0.000 0.210 0.250
Ba2 0.055 0.379 0.983
Ba3 0.165 0.077 0.636
Si1 0.000 0.425 0.250
Br1 0.000 0.244 0.750
Br2 0.131 0.149 0.049
Br3 0.184 0.033 0.367
Br4 0.250 0.250 0.500
O1 0.076 0.480 0.366
O2 0.116 0.360 0.215
```


No. 5
The following is a computed powder X-ray diffraction pattern of Ba2P7Br. It was derived from the PBE geometry in the Materials Project, using Cu Kα X-rays.
Neutral-atom scattering factors, no anomalous dispersion.

Largest 8 diffraction maxima, by angle, 10 to 90 degrees two-theta:
- 2θ = 20.85°, d = 4.261 Å, I 56, hkl 1 1 1
- 2θ = 25.59°, d = 3.481 Å, I 67, hkl 0 2 0
- 2θ = 29.84°, d = 2.994 Å, I 38, hkl 2 0 1
- 2θ = 30.47°, d = 2.934 Å, I 100, hkl 2 0 -2
- 2θ = 31.16°, d = 2.870 Å, I 46, hkl 2 1 -1
- 2θ = 31.67°, d = 2.825 Å, I 59, hkl 1 0 -4
- 2θ = 32.24°, d = 2.776 Å, I 82, hkl 1 2 -2
- 2θ = 39.72°, d = 2.269 Å, I 69, hkl 2 2 1

Cell and atoms:
```
data_Ba2P7Br
_chemical_formula_sum 'Ba4 P14 Br2'
_space_group_name_H-M_alt 'P 1 21/m 1'
_space_group_IT_number 11
_space_group_name_Hall '-P 2yb'
_cell_length_a 6.384
_cell_length_b 6.963
_cell_length_c 12.054
_cell_angle_alpha 90.00
_cell_angle_beta 95.90
_cell_angle_gamma 90.00
loop_
_atom_site_label
_atom_site_fract_x
_atom_site_fract_y
_atom_site_fract_z
Ba1 0.068 0.250 0.352
Ba2 0.288 0.250 0.954
P1 0.168 0.750 0.405
P2 0.169 0.750 0.224
P3 0.360 0.081 0.686
P4 0.374 0.507 0.198
P5 0.495 0.250 0.552
Br1 0.155 0.750 0.914
```


No. 6
The following is a computed powder X-ray diffraction pattern of Ba2YBr7. It was derived from the PBE geometry in the Materials Project, using Cu Kα X-rays.
Neutral-atom scattering factors, no anomalous dispersion.

Largest 8 diffraction maxima, by angle, 10 to 90 degrees two-theta:
- 2θ = 14.58°, d = 6.077 Å, I 20, hkl 2 0 -2
- 2θ = 27.95°, d = 3.193 Å, I 46, hkl 1 3 2
- 2θ = 28.93°, d = 3.086 Å, I 48, hkl 1 1 3
- 2θ = 29.40°, d = 3.038 Å, I 25, hkl 4 0 -4
- 2θ = 30.08°, d = 2.971 Å, I 100, hkl 5 3 -2
- 2θ = 31.17°, d = 2.869 Å, I 24, hkl 6 0 0
- 2θ = 34.47°, d = 2.602 Å, I 22, hkl 2 2 3
- 2θ = 45.55°, d = 1.992 Å, I 21, hkl 4 4 -5

Cell and atoms:
```
data_Ba2YBr7
_chemical_formula_sum 'Ba16 Y8 Br56'
_space_group_name_H-M_alt 'C 1 2/c 1'
_space_group_IT_number 15
_space_group_name_Hall '-C 2yc'
_cell_length_a 19.882
_cell_length_b 13.650
_cell_length_c 12.263
_cell_angle_alpha 90.00
_cell_angle_beta 120.02
_cell_angle_gamma 90.00
loop_
_atom_site_label
_atom_site_fract_x
_atom_site_fract_y
_atom_site_fract_z
Ba1 0.081 0.180 0.037
Ba2 0.122 0.442 0.468
Y1 0.172 0.160 0.675
Br1 0.064 0.416 0.152
Br2 0.065 0.027 0.676
Br3 0.071 0.203 0.421
Br4 0.079 0.298 0.711
Br5 0.215 0.345 0.069
Br6 0.229 0.003 0.605
Br7 0.231 0.194 0.336
```


No. 7
The following is a computed powder X-ray diffraction pattern of Ba2YBr7. It was derived from the PBE geometry in the Materials Project, using Cu Kα X-rays.
Neutral-atom scattering factors, no anomalous dispersion.

Largest 8 diffraction maxima, by angle, 10 to 90 degrees two-theta:
- 2θ = 12.00°, d = 7.374 Å, I 67, hkl 0 2 1
- 2θ = 17.17°, d = 5.165 Å, I 61, hkl 0 2 2
- 2θ = 23.41°, d = 3.800 Å, I 72, hkl 1 3 1
- 2θ = 24.16°, d = 3.684 Å, I 58, hkl 1 0 2
- 2θ = 27.98°, d = 3.189 Å, I 67, hkl 1 5 0
- 2θ = 28.89°, d = 3.090 Å, I 82, hkl 2 2 0
- 2θ = 29.03°, d = 3.076 Å, I 100, hkl 2 2 -4
- 2θ = 32.59°, d = 2.748 Å, I 69, hkl 0 5 3

Cell and atoms:
```
data_Ba2YBr7
_chemical_formula_sum 'Ba8 Y4 Br28'
_space_group_name_H-M_alt 'P 1 21/c 1'
_space_group_IT_number 14
_space_group_name_Hall '-P 2ybc'
_cell_length_a 7.686
_cell_length_b 18.239
_cell_length_c 14.663
_cell_angle_alpha 90.00
_cell_angle_beta 121.27
_cell_angle_gamma 90.00
loop_
_atom_site_label
_atom_site_fract_x
_atom_site_fract_y
_atom_site_fract_z
Ba1 0.121 0.010 0.323
Ba2 0.238 0.228 0.983
Y1 0.378 0.662 0.143
Br1 0.025 0.105 0.483
Br2 0.180 0.072 0.883
Br3 0.206 0.705 0.546
Br4 0.229 0.218 0.262
Br5 0.318 0.689 0.309
Br6 0.447 0.618 0.976
Br7 0.465 0.024 0.266
```


Please write out number 7 again, unchanged.
The following is a computed powder X-ray diffraction pattern of Ba2YBr7. It was derived from the PBE geometry in the Materials Project, using Cu Kα X-rays.
Neutral-atom scattering factors, no anomalous dispersion.

Largest 8 diffraction maxima, by angle, 10 to 90 degrees two-theta:
- 2θ = 12.00°, d = 7.374 Å, I 67, hkl 0 2 1
- 2θ = 17.17°, d = 5.165 Å, I 61, hkl 0 2 2
- 2θ = 23.41°, d = 3.800 Å, I 72, hkl 1 3 1
- 2θ = 24.16°, d = 3.684 Å, I 58, hkl 1 0 2
- 2θ = 27.98°, d = 3.189 Å, I 67, hkl 1 5 0
- 2θ = 28.89°, d = 3.090 Å, I 82, hkl 2 2 0
- 2θ = 29.03°, d = 3.076 Å, I 100, hkl 2 2 -4
- 2θ = 32.59°, d = 2.748 Å, I 69, hkl 0 5 3

Cell and atoms:
```
data_Ba2YBr7
_chemical_formula_sum 'Ba8 Y4 Br28'
_space_group_name_H-M_alt 'P 1 21/c 1'
_space_group_IT_number 14
_space_group_name_Hall '-P 2ybc'
_cell_length_a 7.686
_cell_length_b 18.239
_cell_length_c 14.663
_cell_angle_alpha 90.00
_cell_angle_beta 121.27
_cell_angle_gamma 90.00
loop_
_atom_site_label
_atom_site_fract_x
_atom_site_fract_y
_atom_site_fract_z
Ba1 0.121 0.010 0.323
Ba2 0.238 0.228 0.983
Y1 0.378 0.662 0.143
Br1 0.025 0.105 0.483
Br2 0.180 0.072 0.883
Br3 0.206 0.705 0.546
Br4 0.229 0.218 0.262
Br5 0.318 0.689 0.309
Br6 0.447 0.618 0.976
Br7 0.465 0.024 0.266
```